Diffraction record for K2CaMgP2. The powder diffractogram is computed, not measured: it uses a structure optimized by DFT (GGA-PBE) and Cu Kα X-rays.
Peak positions follow from Bragg's law for the DFT cell and can differ from measured ones.

Most intense lines, 10 to 90 degrees two-theta, sorted by position:
- 11.87°, d 7.456, rel. 24, (0 2 0)
- 28.88°, d 3.091, rel. 34, (2 2 0)
- 29.05°, d 3.074, rel. 36, (0 2 2)
- 30.39°, d 2.942, rel. 100, (1 4 1)
- 35.76°, d 2.511, rel. 26, (2 4 0)
- 35.90°, d 2.502, rel. 26, (0 4 2)
- 37.57°, d 2.394, rel. 70, (2 0 2)
- 48.96°, d 1.860, rel. 18, (3 4 1)
- 49.17°, d 1.853, rel. 22, (1 4 3)
- 56.34°, d 1.633, rel. 21, (0 8 2)

Atomic structure:
```
data_K2CaMgP2
_symmetry_space_group_name_H-M 'I b a m'
_symmetry_Int_Tables_number 72
_symmetry_space_group_name_Hall '-I 2 2c'
_cell_length_a 6.7933
_cell_length_b 14.9128
_cell_length_c 6.7486
_cell_angle_alpha 90.00
_cell_angle_beta 90.00
_cell_angle_gamma 90.00
loop_
_atom_site_label
_atom_site_type_symbol
_atom_site_fract_x
_atom_site_fract_y
_atom_site_fract_z
K1 K 0.2165 0.1851 0.0000
Ca1 Ca 0.0000 0.5000 0.2500
Mg1 Mg 0.0000 0.0000 0.2500
P1 P 0.2296 0.0923 0.5000
```